[1]
Na2Al9Ag6: theoretical X-ray powder pattern (Cu Kα X-rays), based on a DFT-relaxed cell (GGA-PBE, Alexandria).
Neutral-atom scattering factors, no anomalous dispersion.

Principal peaks in the range 10° ≤ 2θ ≤ 80°, most intense first:
2theta	Rel. int.
38.59	1000
18.76	682
32.80	503
19.78	317
43.24	312
52.80	245
62.43	226
40.19	213
71.97	178
27.39	165

Structure:
abc: 5.462 5.462 13.464
angles: 90.00 90.00 120.00
Element x y z (fractional)
Na  0.000  0.000  0.166
Na  0.000  0.000  0.834
Al  0.000  0.500  0.000
Al  0.000  0.500  0.335
Al  0.000  0.500  0.665
Al  0.500  0.000  0.000
Al  0.500  0.000  0.335
Al  0.500  0.000  0.665
Al  0.500  0.500  0.000
Al  0.500  0.500  0.335
Al  0.500  0.500  0.665
Ag  0.333  0.667  0.168
Ag  0.333  0.667  0.500
Ag  0.333  0.667  0.832
Ag  0.667  0.333  0.168
Ag  0.667  0.333  0.500
Ag  0.667  0.333  0.832

***

[2]
NaAl6Ag4: theoretical X-ray powder pattern (Cu Kα X-rays), based on a DFT-relaxed cell (GGA-PBE, Alexandria).
Neutral-atom scattering factors, no anomalous dispersion.

Principal peaks in the range 10° ≤ 2θ ≤ 80°, most intense first:
2theta	Rel. int.
16.00	1000
40.86	879
26.16	747
41.29	640
41.62	505
31.09	445
26.48	400
63.80	319
18.19	283
42.47	217

Structure:
abc: 6.814 6.814 6.814
angles: 120.80 120.80 88.61
Element x y z (fractional)
Na  0.000  0.000  0.000
Al  0.000  0.500  0.500
Al  0.113  0.113  0.614
Al  0.499  0.499  0.386
Al  0.500  0.000  0.500
Al  0.501  0.887  0.000
Al  0.887  0.501  0.000
Ag  0.238  0.588  0.000
Ag  0.412  0.412  0.651
Ag  0.588  0.238  0.000
Ag  0.762  0.762  0.349

***

[3]
Na2AlAgSb2: theoretical X-ray powder pattern (Cu Kα X-rays), based on a DFT-relaxed cell (GGA-PBE, Alexandria).
Neutral-atom scattering factors, no anomalous dispersion.

Principal peaks in the range 10° ≤ 2θ ≤ 80°, most intense first:
2theta	Rel. int.
22.94	1000
11.75	652
36.12	634
39.88	517
37.62	514
41.12	288
31.23	272
45.27	235
69.00	184
55.53	144

Structure:
abc: 8.790 8.790 8.790
angles: 138.78 62.07 135.75
Element x y z (fractional)
Na  0.170  0.219  0.389
Na  0.330  0.719  0.049
Na  0.670  0.281  0.951
Na  0.830  0.781  0.611
Al  0.250  0.750  0.500
Al  0.750  0.250  0.500
Ag  0.250  0.250  0.000
Ag  0.750  0.750  0.000
Sb  0.115  0.720  0.834
Sb  0.385  0.220  0.605
Sb  0.615  0.780  0.395
Sb  0.885  0.280  0.166

***

[4]
Nd2Al3Ag: theoretical X-ray powder pattern (Cu Kα X-rays), based on a DFT-relaxed cell (GGA-PBE, Alexandria).
Neutral-atom scattering factors, no anomalous dispersion.

Principal peaks in the range 10° ≤ 2θ ≤ 80°, most intense first:
2theta	Rel. int.
30.98	1000
36.98	832
34.83	774
57.63	351
20.31	320
37.33	294
19.70	276
59.11	207
64.58	196
55.12	193

Structure:
abc: 5.772 5.772 9.015
angles: 90.00 90.00 120.00
Element x y z (fractional)
Nd  0.333  0.667  0.076
Nd  0.333  0.667  0.424
Nd  0.667  0.333  0.576
Nd  0.667  0.333  0.924
Al  0.171  0.342  0.750
Al  0.171  0.829  0.750
Al  0.342  0.171  0.250
Al  0.658  0.829  0.750
Al  0.829  0.171  0.250
Al  0.829  0.658  0.250
Ag  0.000  0.000  0.000
Ag  0.000  0.000  0.500

***

[5]
Nd2Al9Ag6: theoretical X-ray powder pattern (Cu Kα X-rays), based on a DFT-relaxed cell (GGA-PBE, Alexandria).
Neutral-atom scattering factors, no anomalous dispersion.

Principal peaks in the range 10° ≤ 2θ ≤ 80°, most intense first:
2theta	Rel. int.
38.40	1000
32.42	571
20.03	409
52.97	272
61.84	236
40.70	187
72.55	144
67.88	118
19.72	115
57.83	104

Structure:
abc: 5.523 5.523 13.300
angles: 90.00 90.00 120.00
Element x y z (fractional)
Nd  0.000  0.000  0.163
Nd  0.000  0.000  0.837
Al  0.000  0.500  0.000
Al  0.000  0.500  0.336
Al  0.000  0.500  0.664
Al  0.500  0.000  0.000
Al  0.500  0.000  0.336
Al  0.500  0.000  0.664
Al  0.500  0.500  0.000
Al  0.500  0.500  0.336
Al  0.500  0.500  0.664
Ag  0.333  0.667  0.167
Ag  0.333  0.667  0.500
Ag  0.333  0.667  0.833
Ag  0.667  0.333  0.167
Ag  0.667  0.333  0.500
Ag  0.667  0.333  0.833

***

[6]
Nd4Al3Ag: theoretical X-ray powder pattern (Cu Kα X-rays), based on a DFT-relaxed cell (GGA-PBE, Alexandria).
Neutral-atom scattering factors, no anomalous dispersion.

Principal peaks in the range 10° ≤ 2θ ≤ 80°, most intense first:
2theta	Rel. int.
31.55	1000
32.46	597
24.04	518
35.11	399
51.41	325
48.60	300
38.75	274
29.18	214
37.93	210
61.40	154

Structure:
abc: 3.743 4.648 12.242
angles: 90.00 90.00 90.00
Element x y z (fractional)
Nd  0.000  0.000  0.000
Nd  0.000  0.500  0.306
Nd  0.500  0.000  0.500
Nd  0.500  0.500  0.809
Al  0.000  0.000  0.719
Al  0.000  0.500  0.590
Al  0.500  0.500  0.089
Ag  0.500  0.000  0.218

***

[7]
Nd6AlAg: theoretical X-ray powder pattern (Cu Kα X-rays), based on a DFT-relaxed cell (GGA-PBE, Alexandria).
Neutral-atom scattering factors, no anomalous dispersion.

Principal peaks in the range 10° ≤ 2θ ≤ 80°, most intense first:
2theta	Rel. int.
31.26	1000
34.18	450
59.37	318
49.11	161
25.98	146
53.71	141
45.98	108
56.92	97
29.82	88
40.13	83

Structure:
abc: 9.724 9.724 9.724
angles: 148.69 148.69 44.86
Element x y z (fractional)
Nd  0.106  0.606  0.500
Nd  0.248  0.248  0.000
Nd  0.394  0.894  0.500
Nd  0.606  0.106  0.500
Nd  0.752  0.752  0.000
Nd  0.894  0.394  0.500
Al  0.000  0.000  0.000
Ag  0.500  0.500  0.000

***

[8]
NdAl4Ag2: theoretical X-ray powder pattern (Cu Kα X-rays), based on a DFT-relaxed cell (GGA-PBE, Alexandria).
Neutral-atom scattering factors, no anomalous dispersion.

Principal peaks in the range 10° ≤ 2θ ≤ 80°, most intense first:
2theta	Rel. int.
30.69	1000
11.18	804
43.16	501
35.53	463
34.71	436
31.09	413
40.41	354
57.12	226
60.58	207
45.58	203

Structure:
abc: 8.186 8.186 4.189
angles: 90.00 90.00 150.31
Element x y z (fractional)
Nd  0.000  0.000  0.000
Al  0.188  0.812  0.500
Al  0.310  0.690  0.000
Al  0.690  0.310  0.000
Al  0.812  0.188  0.500
Ag  0.414  0.586  0.500
Ag  0.586  0.414  0.500

***

[9]
Nd3Al3Ag8: theoretical X-ray powder pattern (Cu Kα X-rays), based on a DFT-relaxed cell (GGA-PBE, Alexandria).
Neutral-atom scattering factors, no anomalous dispersion.

Principal peaks in the range 10° ≤ 2θ ≤ 80°, most intense first:
2theta	Rel. int.
33.18	1000
33.58	713
39.20	560
34.96	385
32.84	380
41.67	347
28.29	338
33.90	286
39.81	230
52.04	199

Structure:
abc: 8.524 8.524 8.524
angles: 148.72 108.09 80.50
Element x y z (fractional)
Nd  0.000  0.000  0.000
Nd  0.303  0.303  0.000
Nd  0.697  0.697  0.000
Al  0.304  0.500  0.804
Al  0.500  0.000  0.500
Al  0.696  0.500  0.196
Ag  0.021  0.661  0.361
Ag  0.167  0.877  0.290
Ag  0.300  0.661  0.639
Ag  0.413  0.123  0.290
Ag  0.587  0.877  0.710
Ag  0.700  0.339  0.361
Ag  0.833  0.123  0.710
Ag  0.979  0.339  0.639

***

[10]
Nd2Al2Ag3: theoretical X-ray powder pattern (Cu Kα X-rays), based on a DFT-relaxed cell (GGA-PBE, Alexandria).
Neutral-atom scattering factors, no anomalous dispersion.

Principal peaks in the range 10° ≤ 2θ ≤ 80°, most intense first:
2theta	Rel. int.
32.72	1000
32.23	887
41.23	566
24.34	245
45.36	229
29.49	191
72.20	162
59.73	162
52.57	151
35.97	143

Structure:
abc: 10.225 10.225 7.298
angles: 90.00 90.00 155.24
Element x y z (fractional)
Nd  0.059  0.941  0.750
Nd  0.155  0.845  0.250
Nd  0.845  0.155  0.750
Nd  0.941  0.059  0.250
Al  0.306  0.694  0.058
Al  0.306  0.694  0.442
Al  0.694  0.306  0.558
Al  0.694  0.306  0.942
Ag  0.224  0.776  0.750
Ag  0.436  0.564  0.558
Ag  0.436  0.564  0.942
Ag  0.564  0.436  0.058
Ag  0.564  0.436  0.442
Ag  0.776  0.224  0.250

***

[11]
NdAl4Ag2Pd: theoretical X-ray powder pattern (Cu Kα X-rays), based on a DFT-relaxed cell (GGA-PBE, Alexandria).
Neutral-atom scattering factors, no anomalous dispersion.

Principal peaks in the range 10° ≤ 2θ ≤ 80°, most intense first:
2theta	Rel. int.
26.88	1000
35.61	897
40.97	767
58.81	268
71.15	246
55.39	243
49.68	182
66.30	148
40.28	140
74.64	131

Structure:
abc: 9.311 9.311 9.311
angles: 27.37 27.37 27.37
Element x y z (fractional)
Nd  0.000  0.000  0.000
Al  0.132  0.132  0.132
Al  0.403  0.403  0.403
Al  0.597  0.597  0.597
Al  0.868  0.868  0.868
Ag  0.242  0.242  0.242
Ag  0.758  0.758  0.758
Pd  0.500  0.500  0.500

***

[12]
NdAl4AgPt2: theoretical X-ray powder pattern (Cu Kα X-rays), based on a DFT-relaxed cell (GGA-PBE, Alexandria).
Neutral-atom scattering factors, no anomalous dispersion.

Principal peaks in the range 10° ≤ 2θ ≤ 80°, most intense first:
2theta	Rel. int.
27.25	1000
35.62	745
41.99	633
56.21	199
72.57	195
59.01	195
50.78	184
67.94	154
76.71	113
43.74	107

Structure:
abc: 9.458 9.458 9.458
angles: 26.30 26.30 26.30
Element x y z (fractional)
Nd  0.000  0.000  0.000
Al  0.127  0.127  0.127
Al  0.403  0.403  0.403
Al  0.597  0.597  0.597
Al  0.873  0.873  0.873
Ag  0.500  0.500  0.500
Pt  0.239  0.239  0.239
Pt  0.761  0.761  0.761

***

[13]
Al2NiAg2: theoretical X-ray powder pattern (Cu Kα X-rays), based on a DFT-relaxed cell (GGA-PBE, Alexandria).
Neutral-atom scattering factors, no anomalous dispersion.

Principal peaks in the range 10° ≤ 2θ ≤ 80°, most intense first:
2theta	Rel. int.
38.79	1000
35.89	315
32.20	310
46.18	296
29.35	280
42.88	245
64.84	203
65.78	153
21.06	144
75.82	130

Structure:
abc: 6.216 6.216 4.218
angles: 90.00 90.00 90.00
Element x y z (fractional)
Al  0.153  0.347  0.000
Al  0.347  0.847  0.000
Al  0.653  0.153  0.000
Al  0.847  0.653  0.000
Ni  0.000  0.000  0.000
Ni  0.500  0.500  0.000
Ag  0.163  0.663  0.500
Ag  0.337  0.163  0.500
Ag  0.663  0.837  0.500
Ag  0.837  0.337  0.500